(1)
This entry pairs a crystal structure of ThCo4Ge with its calculated X-ray diffraction stick pattern. Radiation: Cu Ka. Structure: a cell relaxed with GGA-PBE.
Peak positions follow from Bragg's law for the DFT cell and can differ from measured ones.

Largest 6 diffraction maxima, in order of rising 2θ, 2θ from 10° to 80°:
23.97°, d = 3.712 Å, rel. 27, hkl 0 4 0; 32.98°, d = 2.716 Å, rel. 49, hkl 1 3 1; 38.12°, d = 2.361 Å, rel. 100, hkl 1 1 2; 38.30°, d = 2.350 Å, rel. 51, hkl 1 5 0; 47.15°, d = 1.928 Å, rel. 39, hkl 0 6 2; 47.51°, d = 1.914 Å, rel. 29, hkl 2 0 0

```
data_ThCo4Ge
_space_group_name_H-M_alt 'C m c m'
_space_group_IT_number 63
_space_group_name_Hall '-C 2c 2'
_cell_length_a 3.8278
_cell_length_b 14.8864
_cell_length_c 6.1230
_cell_angle_alpha 90.00
_cell_angle_beta 90.00
_cell_angle_gamma 90.00
loop_
_atom_site_label
_atom_site_fract_x
_atom_site_fract_y
_atom_site_fract_z
Th1 0.0000 0.1020 0.2500
Co1 0.0000 0.0780 0.7500
Co2 0.0000 0.3270 0.0559
Co3 0.0000 0.5000 0.0000
Ge1 0.0000 0.2321 0.7500
```


(2)
This entry pairs a crystal structure of Th3Co2Ge3 with its calculated X-ray diffraction stick pattern. Radiation: Cu Ka. Structure: a cell relaxed with GGA-PBE.
Peak positions follow from Bragg's law for the DFT cell and can differ from measured ones.

Largest 6 diffraction maxima, in order of rising 2θ, 2θ from 10° to 80°:
23.88°, d = 3.727 Å, rel. 61, hkl 0 2 3; 29.20°, d = 3.059 Å, rel. 46, hkl 1 1 3; 33.14°, d = 2.703 Å, rel. 100, hkl 1 1 4; 33.48°, d = 2.677 Å, rel. 60, hkl 1 3 1; 35.23°, d = 2.547 Å, rel. 48, hkl 0 0 6; 44.40°, d = 2.040 Å, rel. 63, hkl 2 0 0

```
data_Th3Co2Ge3
_space_group_name_H-M_alt 'C m c m'
_space_group_IT_number 63
_space_group_name_Hall '-C 2c 2'
_cell_length_a 4.0829
_cell_length_b 10.9311
_cell_length_c 15.2846
_cell_angle_alpha 90.00
_cell_angle_beta 90.00
_cell_angle_gamma 90.00
loop_
_atom_site_label
_atom_site_fract_x
_atom_site_fract_y
_atom_site_fract_z
Th1 0.0000 0.0836 0.2500
Th2 0.0000 0.3588 0.0934
Co1 0.0000 0.3517 0.6263
Ge1 0.0000 0.0865 0.0543
Ge2 0.0000 0.2008 0.7500
```